EuEr2O4: simulated X-ray powder pattern (a wavelength of 1.5418 Å), based on DFT lattice parameters and positions (GGA-PBE).
Neutral-atom scattering factors, no anomalous dispersion.

Largest 10 diffraction maxima, sorted by position, 5 to 70 degrees two-theta:
30.12 deg, d = 2.967 Å, intensity 48; 30.79 deg, d = 2.904 Å, intensity 100; 31.72 deg, d = 2.821 Å, intensity 67; 31.94 deg, d = 2.802 Å, intensity 32; 36.06 deg, d = 2.491 Å, intensity 19; 44.48 deg, d = 2.037 Å, intensity 37; 45.12 deg, d = 2.010 Å, intensity 19; 53.90 deg, d = 1.701 Å, intensity 18; 55.19 deg, d = 1.664 Å, intensity 29; 63.63 deg, d = 1.462 Å, intensity 26

Structure:
Unit cell a=9.989 b=3.385 c=11.870 alpha=90.00 beta=90.00 gamma=90.00
Fractional coordinates of all 28 atoms:
Eu: 0.248 0.250 0.149
Eu: 0.252 0.750 0.649
Eu: 0.748 0.250 0.351
Eu: 0.752 0.750 0.851
Er: 0.076 0.250 0.889
Er: 0.078 0.250 0.388
Er: 0.422 0.750 0.888
Er: 0.424 0.750 0.389
Er: 0.576 0.250 0.611
Er: 0.578 0.250 0.112
Er: 0.922 0.750 0.612
Er: 0.924 0.750 0.111
O: 0.014 0.750 0.784
O: 0.076 0.250 0.578
O: 0.127 0.750 0.020
O: 0.212 0.750 0.325
O: 0.288 0.250 0.825
O: 0.373 0.250 0.520
O: 0.424 0.750 0.078
O: 0.486 0.250 0.284
O: 0.514 0.750 0.716
O: 0.576 0.250 0.922
O: 0.627 0.750 0.480
O: 0.712 0.750 0.175
O: 0.788 0.250 0.675
O: 0.873 0.250 0.980
O: 0.924 0.750 0.422
O: 0.986 0.250 0.216

=====

Eu2ErTaO6: simulated X-ray powder pattern (a wavelength of 1.5418 Å), based on DFT lattice parameters and positions (GGA-PBE).
Neutral-atom scattering factors, no anomalous dispersion.

Largest 6 diffraction maxima, sorted by position, 5 to 70 degrees two-theta:
21.28 deg, d = 4.175 Å, intensity 2; 30.28 deg, d = 2.952 Å, intensity 100; 43.35 deg, d = 2.087 Å, intensity 27; 48.78 deg, d = 1.867 Å, intensity 1; 53.79 deg, d = 1.704 Å, intensity 41; 62.97 deg, d = 1.476 Å, intensity 17

Structure:
Unit cell a=5.904 b=5.904 c=5.904 alpha=60.00 beta=60.00 gamma=60.00
Fractional coordinates of all 10 atoms:
Eu: 0.250 0.250 0.250
Eu: 0.750 0.750 0.750
Er: 0.000 0.000 0.000
Ta: 0.500 0.500 0.500
O: 0.262 0.262 0.738
O: 0.262 0.738 0.262
O: 0.262 0.738 0.738
O: 0.738 0.262 0.262
O: 0.738 0.262 0.738
O: 0.738 0.738 0.262

=====

EuEr2S4: simulated X-ray powder pattern (a wavelength of 1.5418 Å), based on DFT lattice parameters and positions (GGA-PBE).
Neutral-atom scattering factors, no anomalous dispersion.

Largest 10 diffraction maxima, sorted by position, 5 to 70 degrees two-theta:
25.08 deg, d = 3.551 Å, intensity 43; 25.74 deg, d = 3.461 Å, intensity 100; 26.93 deg, d = 3.311 Å, intensity 66; 27.14 deg, d = 3.286 Å, intensity 34; 30.45 deg, d = 2.936 Å, intensity 32; 37.31 deg, d = 2.410 Å, intensity 54; 37.91 deg, d = 2.373 Å, intensity 24; 45.98 deg, d = 1.974 Å, intensity 27; 46.04 deg, d = 1.971 Å, intensity 25; 53.49 deg, d = 1.713 Å, intensity 28

Structure:
Unit cell a=11.889 b=3.943 c=14.204 alpha=90.00 beta=90.00 gamma=90.00
Fractional coordinates of all 28 atoms:
Eu: 0.242 0.250 0.162
Eu: 0.258 0.750 0.662
Eu: 0.742 0.250 0.338
Eu: 0.758 0.750 0.838
Er: 0.067 0.250 0.390
Er: 0.081 0.250 0.900
Er: 0.419 0.750 0.400
Er: 0.433 0.750 0.890
Er: 0.567 0.250 0.110
Er: 0.581 0.250 0.600
Er: 0.919 0.750 0.100
Er: 0.933 0.750 0.610
S: 0.023 0.750 0.784
S: 0.088 0.250 0.579
S: 0.131 0.750 0.028
S: 0.207 0.750 0.324
S: 0.293 0.250 0.824
S: 0.369 0.250 0.528
S: 0.412 0.750 0.079
S: 0.477 0.250 0.284
S: 0.523 0.750 0.716
S: 0.588 0.250 0.921
S: 0.631 0.750 0.472
S: 0.707 0.750 0.176
S: 0.793 0.250 0.676
S: 0.869 0.250 0.972
S: 0.912 0.750 0.421
S: 0.977 0.250 0.216